(1)
Diffraction record for Zn3Ir. The XRD peak list is simulated, not measured: it uses DFT lattice parameters and positions (PBE) and copper Kα.

Structure:
abc: 2.9038 3.7356 5.3365
angles: 90.00 90.27 90.00
Fractional positions:
Zn (0.0000, 0.0000, 0.0000)
Zn (0.4987, 0.5000, 0.7388)
Zn (0.5013, 0.5000, 0.2612)
Ir (0.0000, 0.0000, 0.5000)

Main lines, sorted by position (2θ = 10–90°):
d (Å)	I_rel
5.336	41.2
3.736	15.1
3.060	15.3
2.293	100.0
2.171	84.5
1.969	31.4
1.960	30.9
1.868	26.7
1.355	17.9
1.352	19.5



(2)
Diffraction record for SnP2PdO8. The XRD peak list is simulated, not measured: it uses DFT lattice parameters and positions (PBE) and copper Kα.

Structure:
abc: 7.9830 7.9830 7.9830
angles: 34.74 34.74 34.74
Fractional positions:
Sn (0.0000, 0.0000, 0.0000)
P (0.2421, 0.2421, 0.2421)
P (0.7579, 0.7579, 0.7579)
Pd (0.5000, 0.5000, 0.5000)
O (0.0969, 0.7668, 0.4710)
O (0.2332, 0.5290, 0.9031)
O (0.3107, 0.3107, 0.3107)
O (0.4710, 0.0969, 0.7668)
O (0.5290, 0.9031, 0.2332)
O (0.6893, 0.6893, 0.6893)
O (0.7668, 0.4710, 0.0969)
O (0.9031, 0.2332, 0.5290)

Main lines, sorted by position (2θ = 10–90°):
d (Å)	I_rel
3.875	27.8
3.327	100.0
2.383	33.5
2.323	25.9
2.011	27.3
1.938	18.1
1.503	17.2
1.473	17.7
1.376	11.5
1.364	10.3



(3)
Diffraction record for Dy3YSe6. The XRD peak list is simulated, not measured: it uses DFT lattice parameters and positions (PBE) and copper Kα.

Structure:
abc: 8.3970 8.3970 8.3970
angles: 90.89 90.89 90.89
Fractional positions:
Dy (0.0698, 0.5792, 0.7454)
Dy (0.2546, 0.9302, 0.4208)
Dy (0.4208, 0.2546, 0.9302)
Dy (0.5792, 0.7454, 0.0698)
Dy (0.7454, 0.0698, 0.5792)
Dy (0.9302, 0.4208, 0.2546)
Y (0.0000, 0.0000, 0.0000)
Y (0.5000, 0.5000, 0.5000)
Se (0.0371, 0.9069, 0.6795)
Se (0.0931, 0.3205, 0.9629)
Se (0.1839, 0.5904, 0.4148)
Se (0.3205, 0.9629, 0.0931)
Se (0.4096, 0.5852, 0.8161)
Se (0.4148, 0.1839, 0.5904)
Se (0.5852, 0.8161, 0.4096)
Se (0.5904, 0.4148, 0.1839)
Se (0.6795, 0.0371, 0.9069)
Se (0.8161, 0.4096, 0.5852)
Se (0.9069, 0.6795, 0.0371)
Se (0.9629, 0.0931, 0.3205)

Main lines, sorted by position (2θ = 10–90°):
d (Å)	I_rel
4.772	65.7
4.197	25.6
3.778	100.0
3.436	28.3
2.667	79.7
2.642	90.7
2.261	84.8
2.216	44.0
2.044	27.6
2.029	25.4



(4)
Diffraction record for PrPaAu2O8. The XRD peak list is simulated, not measured: it uses DFT lattice parameters and positions (PBE) and copper Kα.

Structure:
abc: 6.2712 6.2712 6.2712
angles: 109.43 109.43 109.56
Fractional positions:
Pr (0.0000, 0.0000, 0.0000)
Pa (0.2500, 0.7500, 0.5000)
Au (0.5000, 0.5000, 0.0000)
Au (0.7500, 0.2500, 0.5000)
O (0.2835, 0.0886, 0.8051)
O (0.2835, 0.4784, 0.1949)
O (0.3660, 0.0320, 0.3340)
O (0.5216, 0.7165, 0.8051)
O (0.6981, 0.0320, 0.6660)
O (0.9114, 0.7165, 0.1949)
O (0.9680, 0.3019, 0.3340)
O (0.9680, 0.6340, 0.6660)

Main lines, sorted by position (2θ = 10–90°):
d (Å)	I_rel
3.623	100.0
2.955	98.7
2.562	30.9
1.935	73.6
1.810	23.8
1.619	37.3
1.544	20.8
1.323	17.5
1.207	18.7
1.175	14.3